[1]
This entry pairs a crystal structure of Sm2In8Pd with its simulated powder diffractogram. Radiation: Cu Kα X-rays. Structure: a DFT-relaxed cell (GGA-PBE, the Materials Project).
Lines closer than 0.1° are merged.

The 10 most intense peaks (2θ from 10° to 90°), by intensity:
2θ = 34.6°, I = 100; 2θ = 37.7°, I = 54; 2θ = 66.1°, I = 29; 2θ = 30.3°, I = 29; 2θ = 67.7°, I = 22; 2θ = 53.9°, I = 19; 2θ = 54.4°, I = 18; 2θ = 37.0°, I = 15; 2θ = 60.0°, I = 8; 2θ = 40.0°, I = 8

Structural model:
```
data_Sm2In8Pd
_chemical_formula_sum 'Sm2 In8 Pd1'
_cell_length_a 4.7711
_cell_length_b 4.7711
_cell_length_c 12.1377
_cell_angle_alpha 90.00
_cell_angle_beta 90.00
_cell_angle_gamma 90.00
_symmetry_space_group_name_H-M 'P 4/m m m'
_symmetry_Int_Tables_number 123
_symmetry_space_group_name_Hall '-P 4 2'
loop_
_atom_site_label
_atom_site_type_symbol
_atom_site_fract_x
_atom_site_fract_y
_atom_site_fract_z
_atom_site_occupancy
Sm1 Sm 0.0000 0.0000 0.1895 1
In1 In 0.0000 0.5000 0.0000 1
In2 In 0.0000 0.5000 0.3749 1
In3 In 0.5000 0.5000 0.1923 1
Pd1 Pd 0.0000 0.0000 0.5000 1
```

=====

[2]
This entry pairs a crystal structure of SrIn4Pd with its simulated powder diffractogram. Radiation: Cu Kα X-rays. Structure: a DFT-relaxed cell (GGA-PBE, the Materials Project).
Lines closer than 0.1° are merged.

The 10 most intense peaks (2θ from 10° to 90°), by intensity:
2θ = 30.8°, I = 100; 2θ = 32.2°, I = 46; 2θ = 38.8°, I = 42; 2θ = 34.4°, I = 38; 2θ = 39.1°, I = 34; 2θ = 40.8°, I = 24; 2θ = 56.3°, I = 23; 2θ = 33.2°, I = 23; 2θ = 40.2°, I = 18; 2θ = 15.5°, I = 14

Structural model:
```
data_SrIn4Pd
_chemical_formula_sum 'Sr4 In16 Pd4'
_cell_length_a 4.6445
_cell_length_b 17.3237
_cell_length_c 7.6226
_cell_angle_alpha 90.00
_cell_angle_beta 90.00
_cell_angle_gamma 90.00
_symmetry_space_group_name_H-M 'C m c m'
_symmetry_Int_Tables_number 63
_symmetry_space_group_name_Hall '-C 2c 2'
loop_
_atom_site_label
_atom_site_type_symbol
_atom_site_fract_x
_atom_site_fract_y
_atom_site_fract_z
_atom_site_occupancy
Sr1 Sr 0.0000 0.1241 0.2500 1
In1 In 0.0000 0.0698 0.7500 1
In2 In 0.0000 0.3147 0.0516 1
In3 In 0.0000 0.5000 0.0000 1
Pd1 Pd 0.0000 0.2256 0.7500 1
```

=====

[3]
This entry pairs a crystal structure of SrInPd with its simulated powder diffractogram. Radiation: Cu Kα X-rays. Structure: a DFT-relaxed cell (GGA-PBE, the Materials Project).
Lines closer than 0.1° are merged.

The 10 most intense peaks (2θ from 10° to 90°), by intensity:
2θ = 32.1°, I = 100; 2θ = 30.7°, I = 89; 2θ = 36.8°, I = 72; 2θ = 39.5°, I = 56; 2θ = 36.4°, I = 43; 2θ = 38.7°, I = 33; 2θ = 40.7°, I = 28; 2θ = 30.3°, I = 27; 2θ = 54.8°, I = 26; 2θ = 41.6°, I = 24

Structural model:
```
data_SrInPd
_chemical_formula_sum 'Sr4 In4 Pd4'
_cell_length_a 7.7284
_cell_length_b 4.5608
_cell_length_c 8.6784
_cell_angle_alpha 90.00
_cell_angle_beta 90.00
_cell_angle_gamma 90.00
_symmetry_space_group_name_H-M 'P n m a'
_symmetry_Int_Tables_number 62
_symmetry_space_group_name_Hall '-P 2ac 2n'
loop_
_atom_site_label
_atom_site_type_symbol
_atom_site_fract_x
_atom_site_fract_y
_atom_site_fract_z
_atom_site_occupancy
Sr1 Sr 0.0294 0.2500 0.1788 1
In1 In 0.1457 0.2500 0.5654 1
Pd1 Pd 0.2211 0.7500 0.3784 1
```

=====

[4]
This entry pairs a crystal structure of TbInPd with its simulated powder diffractogram. Radiation: Cu Kα X-rays. Structure: a DFT-relaxed cell (GGA-PBE, the Materials Project).
Lines closer than 0.1° are merged.

The 10 most intense peaks (2θ from 10° to 90°), by intensity:
2θ = 32.9°, I = 100; 2θ = 35.6°, I = 90; 2θ = 35.1°, I = 50; 2θ = 40.0°, I = 40; 2θ = 65.0°, I = 33; 2θ = 48.0°, I = 22; 2θ = 42.7°, I = 21; 2θ = 60.8°, I = 20; 2θ = 64.2°, I = 19; 2θ = 54.6°, I = 17

Structural model:
```
data_TbInPd
_chemical_formula_sum 'Tb3 In3 Pd3'
_cell_length_a 7.8063
_cell_length_b 7.8063
_cell_length_c 3.7936
_cell_angle_alpha 90.00
_cell_angle_beta 90.00
_cell_angle_gamma 120.00
_symmetry_space_group_name_H-M 'P -6 2 m'
_symmetry_Int_Tables_number 189
_symmetry_space_group_name_Hall 'P -6 -2'
loop_
_atom_site_label
_atom_site_type_symbol
_atom_site_fract_x
_atom_site_fract_y
_atom_site_fract_z
_atom_site_occupancy
Tb1 Tb 0.0000 0.5907 0.0000 1
In1 In 0.0000 0.2605 0.5000 1
Pd1 Pd 0.0000 0.0000 0.0000 1
Pd2 Pd 0.3333 0.6667 0.5000 1
```

=====

[5]
This entry pairs a crystal structure of Tb5In4Pd2 with its simulated powder diffractogram. Radiation: Cu Kα X-rays. Structure: a DFT-relaxed cell (GGA-PBE, the Materials Project).
Lines closer than 0.1° are merged.

The 10 most intense peaks (2θ from 10° to 90°), by intensity:
2θ = 34.4°, I = 100; 2θ = 33.1°, I = 88; 2θ = 36.3°, I = 50; 2θ = 34.6°, I = 45; 2θ = 35.9°, I = 40; 2θ = 31.2°, I = 37; 2θ = 36.1°, I = 34; 2θ = 49.6°, I = 31; 2θ = 36.8°, I = 26; 2θ = 57.1°, I = 18

Structural model:
```
data_Tb5In4Pd2
_chemical_formula_sum 'Tb10 In8 Pd4'
_cell_length_a 8.1038
_cell_length_b 18.3990
_cell_length_c 3.6739
_cell_angle_alpha 90.00
_cell_angle_beta 90.00
_cell_angle_gamma 90.00
_symmetry_space_group_name_H-M 'P b a m'
_symmetry_Int_Tables_number 55
_symmetry_space_group_name_Hall '-P 2 2ab'
loop_
_atom_site_label
_atom_site_type_symbol
_atom_site_fract_x
_atom_site_fract_y
_atom_site_fract_z
_atom_site_occupancy
Tb1 Tb 0.0000 0.0000 0.0000 1
Tb2 Tb 0.1147 0.4180 0.0000 1
Tb3 Tb 0.2443 0.2208 0.0000 1
In1 In 0.0769 0.8515 0.5000 1
In2 In 0.2126 0.5700 0.5000 1
Pd1 Pd 0.0280 0.3044 0.5000 1
```

=====

[6]
This entry pairs a crystal structure of TbIn2Pd with its simulated powder diffractogram. Radiation: Cu Kα X-rays. Structure: a DFT-relaxed cell (GGA-PBE, the Materials Project).
Lines closer than 0.1° are merged.

The 10 most intense peaks (2θ from 10° to 90°), by intensity:
2θ = 33.6°, I = 100; 2θ = 33.5°, I = 86; 2θ = 32.2°, I = 64; 2θ = 37.3°, I = 58; 2θ = 38.9°, I = 49; 2θ = 35.0°, I = 39; 2θ = 40.1°, I = 33; 2θ = 39.6°, I = 32; 2θ = 34.8°, I = 28; 2θ = 36.5°, I = 27

Structural model:
```
data_TbIn2Pd
_chemical_formula_sum 'Tb20 In40 Pd20'
_cell_length_a 13.9079
_cell_length_b 13.9079
_cell_length_c 9.2477
_cell_angle_alpha 90.00
_cell_angle_beta 90.00
_cell_angle_gamma 90.00
_symmetry_space_group_name_H-M 'I 4 m m'
_symmetry_Int_Tables_number 107
_symmetry_space_group_name_Hall 'I 4 -2'
loop_
_atom_site_label
_atom_site_type_symbol
_atom_site_fract_x
_atom_site_fract_y
_atom_site_fract_z
_atom_site_occupancy
Tb1 Tb 0.0000 0.0000 0.0000 1
Tb2 Tb 0.0000 0.0000 0.4709 1
Tb3 Tb 0.0000 0.2807 0.3989 1
Tb4 Tb 0.2026 0.2026 0.8864 1
In1 In 0.0000 0.1644 0.7287 1
In2 In 0.0000 0.3825 0.8765 1
In3 In 0.1320 0.1320 0.2336 1
In4 In 0.1418 0.3512 0.1368 1
Pd1 Pd 0.0000 0.2140 0.0375 1
Pd2 Pd 0.0000 0.5000 0.1273 1
Pd3 Pd 0.1604 0.1604 0.5444 1
```

=====

[7]
This entry pairs a crystal structure of TmIn2Pd with its simulated powder diffractogram. Radiation: Cu Kα X-rays. Structure: a DFT-relaxed cell (GGA-PBE, the Materials Project).
Lines closer than 0.1° are merged.

The 10 most intense peaks (2θ from 10° to 90°), by intensity:
2θ = 33.9°, I = 100; 2θ = 33.8°, I = 87; 2θ = 32.5°, I = 64; 2θ = 37.6°, I = 57; 2θ = 39.2°, I = 52; 2θ = 35.2°, I = 39; 2θ = 40.4°, I = 32; 2θ = 39.9°, I = 30; 2θ = 35.0°, I = 27; 2θ = 36.8°, I = 26

Structural model:
```
data_TmIn2Pd
_chemical_formula_sum 'Tm20 In40 Pd20'
_cell_length_a 13.8016
_cell_length_b 13.8016
_cell_length_c 9.1841
_cell_angle_alpha 90.00
_cell_angle_beta 90.00
_cell_angle_gamma 90.00
_symmetry_space_group_name_H-M 'I 4 m m'
_symmetry_Int_Tables_number 107
_symmetry_space_group_name_Hall 'I 4 -2'
loop_
_atom_site_label
_atom_site_type_symbol
_atom_site_fract_x
_atom_site_fract_y
_atom_site_fract_z
_atom_site_occupancy
Tm1 Tm 0.0000 0.0000 0.0000 1
Tm2 Tm 0.0000 0.0000 0.4733 1
Tm3 Tm 0.0000 0.2798 0.0709 1
Tm4 Tm 0.2021 0.2021 0.5840 1
In1 In 0.0000 0.1633 0.7427 1
In2 In 0.0000 0.3830 0.5953 1
In3 In 0.1304 0.1304 0.2363 1
In4 In 0.1420 0.3501 0.3340 1
Pd1 Pd 0.0000 0.2122 0.4364 1
Pd2 Pd 0.0000 0.5000 0.3456 1
Pd3 Pd 0.1608 0.1608 0.9293 1
```

=====

[8]
This entry pairs a crystal structure of TmInPd with its simulated powder diffractogram. Radiation: Cu Kα X-rays. Structure: a DFT-relaxed cell (GGA-PBE, the Materials Project).
Lines closer than 0.1° are merged.

The 10 most intense peaks (2θ from 10° to 90°), by intensity:
2θ = 33.4°, I = 100; 2θ = 36.0°, I = 80; 2θ = 65.3°, I = 52; 2θ = 35.2°, I = 46; 2θ = 40.1°, I = 43; 2θ = 49.3°, I = 20; 2θ = 43.1°, I = 18; 2θ = 62.0°, I = 17; 2θ = 55.0°, I = 17; 2θ = 48.6°, I = 16

Structural model:
```
data_TmInPd
_chemical_formula_sum 'Tm3 In3 Pd3'
_cell_length_a 7.7928
_cell_length_b 7.7928
_cell_length_c 3.6959
_cell_angle_alpha 90.00
_cell_angle_beta 90.00
_cell_angle_gamma 120.00
_symmetry_space_group_name_H-M 'P -6 2 m'
_symmetry_Int_Tables_number 189
_symmetry_space_group_name_Hall 'P -6 -2'
loop_
_atom_site_label
_atom_site_type_symbol
_atom_site_fract_x
_atom_site_fract_y
_atom_site_fract_z
_atom_site_occupancy
Tm1 Tm 0.0000 0.5947 0.0000 1
In1 In 0.0000 0.2644 0.5000 1
Pd1 Pd 0.0000 0.0000 0.0000 1
Pd2 Pd 0.3333 0.6667 0.5000 1
```

=====

Please write out number 1 again, unchanged.
This entry pairs a crystal structure of Sm2In8Pd with its simulated powder diffractogram. Radiation: Cu Kα X-rays. Structure: a DFT-relaxed cell (GGA-PBE, the Materials Project).
Lines closer than 0.1° are merged.

The 10 most intense peaks (2θ from 10° to 90°), by intensity:
2θ = 34.6°, I = 100; 2θ = 37.7°, I = 54; 2θ = 66.1°, I = 29; 2θ = 30.3°, I = 29; 2θ = 67.7°, I = 22; 2θ = 53.9°, I = 19; 2θ = 54.4°, I = 18; 2θ = 37.0°, I = 15; 2θ = 60.0°, I = 8; 2θ = 40.0°, I = 8

Structural model:
```
data_Sm2In8Pd
_chemical_formula_sum 'Sm2 In8 Pd1'
_cell_length_a 4.7711
_cell_length_b 4.7711
_cell_length_c 12.1377
_cell_angle_alpha 90.00
_cell_angle_beta 90.00
_cell_angle_gamma 90.00
_symmetry_space_group_name_H-M 'P 4/m m m'
_symmetry_Int_Tables_number 123
_symmetry_space_group_name_Hall '-P 4 2'
loop_
_atom_site_label
_atom_site_type_symbol
_atom_site_fract_x
_atom_site_fract_y
_atom_site_fract_z
_atom_site_occupancy
Sm1 Sm 0.0000 0.0000 0.1895 1
In1 In 0.0000 0.5000 0.0000 1
In2 In 0.0000 0.5000 0.3749 1
In3 In 0.5000 0.5000 0.1923 1
Pd1 Pd 0.0000 0.0000 0.5000 1
```